Entry 1:
# Li2CaN2
Computed X-ray powder pattern, Cu Ka. Input: a PBE-relaxed structure.

Largest 10 diffraction maxima, by intensity, 10 to 90 degrees two-theta:
33.52°, I 100.0; 43.40°, I 55.3; 15.36°, I 54.9; 52.55°, I 29.2; 56.77°, I 16.8; 29.62°, I 15.1; 63.79°, I 12.2; 70.45°, I 10.5; 87.15°, I 9.4; 55.09°, I 9.3

Structure:
```
Li2CaN2
1.0
3.483 0.000 0.000
-1.741 3.016 0.000
0.000 0.000 5.770
Li Ca N
2 1 2
Direct
0.333 0.667 0.116
0.667 0.333 0.884
0.000 0.000 0.500
0.333 0.667 0.756
0.667 0.333 0.244
```


Entry 2:
# SmSnPd2
Computed X-ray powder pattern, Cu Ka. Input: a PBE-relaxed structure.

Largest 8 diffraction maxima, by intensity, 10 to 90 degrees two-theta:
36.91°, I 100.0; 66.50°, I 35.6; 53.19°, I 17.5; 78.57°, I 11.2; 25.87°, I 1.4; 22.36°, I 0.9; 60.07°, I 0.7; 45.63°, I 0.5

Structure:
```
SmSnPd2
1.0
0.000 3.444 3.444
3.444 0.000 3.444
3.444 3.444 0.000
Sm Sn Pd
1 1 2
Direct
0.000 0.000 0.000
0.500 0.500 0.500
0.250 0.250 0.250
0.750 0.750 0.750
```


Entry 3:
# CsI3
Computed X-ray powder pattern, Cu Ka. Input: a PBE-relaxed structure.

Largest 10 diffraction maxima, by intensity, 10 to 90 degrees two-theta:
26.27°, I 100.0; 24.64°, I 88.4; 22.40°, I 43.1; 21.68°, I 40.2; 31.75°, I 36.2; 44.39°, I 23.7; 49.07°, I 23.2; 34.05°, I 21.9; 30.09°, I 20.4; 23.15°, I 20.2

Structure:
```
CsI3
1.0
11.318 0.000 0.000
0.000 7.227 0.000
0.000 0.000 10.466
Cs I
4 12
Direct
0.177 0.250 0.029
0.323 0.750 0.529
0.677 0.250 0.471
0.823 0.750 0.971
0.065 0.750 0.264
0.130 0.250 0.555
0.168 0.750 0.868
0.332 0.250 0.368
0.370 0.750 0.055
0.435 0.250 0.764
0.565 0.750 0.236
0.630 0.250 0.945
0.668 0.750 0.632
0.832 0.250 0.132
0.870 0.750 0.445
0.935 0.250 0.736
```